1.
This entry pairs a crystal structure of Li5Mn8B8O24 with its theoretical powder XRD pattern. Radiation: λ = 1.5418 Å (Cu Kα). Structure: DFT lattice parameters and positions (PBE+U).
Neutral-atom scattering factors, no anomalous dispersion.

Atomic structure:
Lattice parameters (Å, degrees): 5.2674 9.1469 11.4648 67.98 77.34 89.83
Space group P1 (No. 1)
Symmetry-distinct sites (fractional):
Li: 0.0000 0.0000 0.0000 [1 per cell]
Li: 0.0141 0.0404 0.2550 [1 per cell]
Li: 0.2342 0.2919 0.4803 [1 per cell]
Li: 0.5137 0.5298 0.9677 [1 per cell]
Li: 0.7118 0.7681 0.4968 [1 per cell]
Mn: 0.2115 0.9350 0.5240 [1 per cell]
Mn: 0.2200 0.6225 0.7677 [1 per cell]
Mn: 0.4742 0.8349 0.0313 [1 per cell]
Mn: 0.4967 0.2244 0.2648 [1 per cell]
Mn: 0.7078 0.4033 0.5271 [1 per cell]
Mn: 0.7776 0.1107 0.7723 [1 per cell]
Mn: 0.9769 0.3262 0.0152 [1 per cell]
Mn: 0.9956 0.6841 0.2764 [1 per cell]
B: 0.2031 0.5807 0.5297 [1 per cell]
B: 0.2788 0.9353 0.7956 [1 per cell]
B: 0.4591 0.1561 0.0342 [1 per cell]
B: 0.5008 0.8796 0.2737 [1 per cell]
B: 0.7148 0.0892 0.5165 [1 per cell]
B: 0.7508 0.4509 0.7659 [1 per cell]
B: 0.9701 0.6636 0.0161 [1 per cell]
B: 0.9792 0.3624 0.2880 [1 per cell]
O: 0.0862 0.7571 0.0665 [1 per cell]
O: 0.1191 0.0420 0.8179 [1 per cell]
O: 0.1335 0.5707 0.9608 [1 per cell]
O: 0.1943 0.1295 0.0522 [1 per cell]
O: 0.2281 0.3700 0.2991 [1 per cell]
O: 0.2286 0.8507 0.7234 [1 per cell]
O: 0.2960 0.6902 0.5747 [1 per cell]
O: 0.3447 0.4589 0.5237 [1 per cell]
O: 0.3452 0.9836 0.3143 [1 per cell]
O: 0.3885 0.7916 0.2169 [1 per cell]
O: 0.4776 0.1299 0.4854 [1 per cell]
O: 0.5059 0.9071 0.8443 [1 per cell]
O: 0.5638 0.2815 0.0550 [1 per cell]
O: 0.5905 0.5587 0.7853 [1 per cell]
O: 0.6325 0.0551 0.9970 [1 per cell]
O: 0.6875 0.3457 0.7108 [1 per cell]
O: 0.7106 0.6585 0.0234 [1 per cell]
O: 0.7488 0.8605 0.2927 [1 per cell]
O: 0.7997 0.4525 0.3393 [1 per cell]
O: 0.8309 0.9597 0.5079 [1 per cell]
O: 0.8461 0.1892 0.5589 [1 per cell]
O: 0.8961 0.2717 0.2271 [1 per cell]
O: 0.9690 0.6048 0.4890 [1 per cell]
O: 0.9887 0.4318 0.8055 [1 per cell]

The 12 most intense peaks (10 to 90 degrees two-theta), in order of falling intensity:
4.563 Å, intensity 100; 2.636 Å, intensity 88; 2.583 Å, intensity 85; 4.140 Å, intensity 72; 3.468 Å, intensity 64; 4.170 Å, intensity 46; 3.379 Å, intensity 35; 1.864 Å, intensity 27; 2.246 Å, intensity 27; 2.226 Å, intensity 27; 1.707 Å, intensity 21; 2.381 Å, intensity 21

2.
This entry pairs a crystal structure of Nd3FeO6 with its theoretical powder XRD pattern. Radiation: λ = 1.5418 Å (Cu Kα). Structure: DFT lattice parameters and positions (PBE+U).
Neutral-atom scattering factors, no anomalous dispersion.

Atomic structure:
Lattice parameters (Å, degrees): 9.2722 11.6110 5.6746 90.00 90.00 90.00
Space group Cmc2_1 (No. 36)
Symmetry-distinct sites (fractional):
Nd: 0.0000 0.1039 0.0000 [4 per cell]
Nd: 0.1931 0.3939 0.0449 [8 per cell]
Fe: 0.0000 0.3096 0.5767 [4 per cell]
O: 0.0000 0.2833 0.2442 [4 per cell]
O: 0.0000 0.4607 0.7193 [4 per cell]
O: 0.1554 0.2400 0.7476 [8 per cell]
O: 0.1597 0.0134 0.2733 [8 per cell]

The 12 most intense peaks (10 to 90 degrees two-theta), in order of falling intensity:
3.054 Å, intensity 100; 3.023 Å, intensity 38; 2.057 Å, intensity 24; 1.857 Å, intensity 22; 2.029 Å, intensity 20; 2.837 Å, intensity 20; 2.987 Å, intensity 17; 4.467 Å, intensity 16; 1.604 Å, intensity 16; 1.677 Å, intensity 13; 1.554 Å, intensity 13; 2.903 Å, intensity 12

3.
This entry pairs a crystal structure of Li2Mn2FeO6 with its theoretical powder XRD pattern. Radiation: λ = 1.5418 Å (Cu Kα). Structure: DFT lattice parameters and positions (PBE+U).
Neutral-atom scattering factors, no anomalous dispersion.

Atomic structure:
Lattice parameters (Å, degrees): 10.2959 5.2394 8.8141 90.00 90.00 90.00
Space group Aea2 (No. 41)
Symmetry-distinct sites (fractional):
Li: 0.2484 0.1267 0.0000 [8 per cell]
Mn: 0.0000 0.0000 0.5874 [4 per cell]
Mn: 0.0000 0.0000 0.9141 [4 per cell]
Fe: 0.0000 0.0000 0.2446 [4 per cell]
O: 0.0962 0.3400 0.2514 [8 per cell]
O: 0.0989 0.3281 0.9232 [8 per cell]
O: 0.1125 0.3664 0.5690 [8 per cell]

The 12 most intense peaks (10 to 90 degrees two-theta), in order of falling intensity:
5.148 Å, intensity 100; 2.053 Å, intensity 32; 2.487 Å, intensity 26; 1.605 Å, intensity 18; 2.335 Å, intensity 17; 1.486 Å, intensity 15; 1.836 Å, intensity 12; 2.620 Å, intensity 9; 2.294 Å, intensity 7; 1.276 Å, intensity 6; 1.413 Å, intensity 5; 1.435 Å, intensity 5

4.
This entry pairs a crystal structure of Li2FeNi2O6 with its theoretical powder XRD pattern. Radiation: λ = 1.5418 Å (Cu Kα). Structure: DFT lattice parameters and positions (PBE+U).
Neutral-atom scattering factors, no anomalous dispersion.

Atomic structure:
Lattice parameters (Å, degrees): 6.5683 6.6387 8.3215 70.61 70.36 82.33
Space group P-1 (No. 2)
Symmetry-distinct sites (fractional):
Li: 0.0046 0.1511 0.3355 [2 per cell]
Li: 0.3276 0.1625 0.0015 [2 per cell]
Li: 0.3349 0.4904 0.6725 [2 per cell]
Fe: 0.0000 0.5000 0.5000 [1 per cell]
Fe: 0.3319 0.5059 0.1596 [2 per cell]
Ni: 0.0026 0.1665 0.8325 [2 per cell]
Ni: 0.3314 0.8378 0.8273 [2 per cell]
Ni: 0.3365 0.1662 0.4981 [2 per cell]
O: 0.0095 0.5239 0.2571 [2 per cell]
O: 0.0171 0.8675 0.9015 [2 per cell]
O: 0.0361 0.1779 0.5666 [2 per cell]
O: 0.3109 0.1657 0.7324 [2 per cell]
O: 0.3139 0.8313 0.0611 [2 per cell]
O: 0.3300 0.4661 0.4192 [2 per cell]
O: 0.3512 0.1811 0.2606 [2 per cell]
O: 0.3520 0.4949 0.9177 [2 per cell]
O: 0.3527 0.8586 0.5881 [2 per cell]

The 12 most intense peaks (10 to 90 degrees two-theta), in order of falling intensity:
4.899 Å, intensity 100; 2.487 Å, intensity 25; 2.087 Å, intensity 20; 2.080 Å, intensity 19; 2.061 Å, intensity 19; 2.465 Å, intensity 11; 1.449 Å, intensity 10; 2.378 Å, intensity 8; 1.914 Å, intensity 8; 1.487 Å, intensity 5; 1.485 Å, intensity 5; 1.459 Å, intensity 5

5.
This entry pairs a crystal structure of CaCrGe2O6 with its theoretical powder XRD pattern. Radiation: λ = 1.5418 Å (Cu Kα). Structure: DFT lattice parameters and positions (PBE+U).
Neutral-atom scattering factors, no anomalous dispersion.

Atomic structure:
Lattice parameters (Å, degrees): 10.4001 9.4272 5.3131 90.00 104.72 90.00
Space group P2_1/c (No. 14)
Symmetry-distinct sites (fractional):
Ca: 0.2170 0.0510 0.1946 [4 per cell]
Cr: 0.2712 0.6583 0.2479 [4 per cell]
Ge: 0.0086 0.1483 0.6019 [4 per cell]
Ge: 0.4496 0.1520 0.7880 [4 per cell]
O: 0.0677 0.5212 0.2373 [4 per cell]
O: 0.0985 0.2497 0.4120 [4 per cell]
O: 0.1573 0.6755 0.8699 [4 per cell]
O: 0.3492 0.0191 0.6201 [4 per cell]
O: 0.3776 0.6344 0.6284 [4 per cell]
O: 0.3972 0.1922 0.0834 [4 per cell]

The 12 most intense peaks (10 to 90 degrees two-theta), in order of falling intensity:
3.120 Å, intensity 100; 2.654 Å, intensity 71; 2.680 Å, intensity 68; 3.036 Å, intensity 52; 3.159 Å, intensity 45; 1.723 Å, intensity 38; 2.279 Å, intensity 38; 4.510 Å, intensity 37; 1.470 Å, intensity 29; 1.538 Å, intensity 22; 1.533 Å, intensity 21; 2.569 Å, intensity 19

6.
This entry pairs a crystal structure of KEuSbWO6 with its theoretical powder XRD pattern. Radiation: λ = 1.5418 Å (Cu Kα). Structure: DFT lattice parameters and positions (PBE+U).
Neutral-atom scattering factors, no anomalous dispersion.

Atomic structure:
Lattice parameters (Å, degrees): 8.4261 8.4261 8.4261 90.00 90.00 90.00
Space group F-43m (No. 216)
Symmetry-distinct sites (fractional):
K: 0.0000 0.0000 0.0000 [4 per cell]
Eu: 0.0000 0.0000 0.5000 [4 per cell]
Sb: 0.2500 0.2500 0.2500 [4 per cell]
W: 0.2500 0.2500 0.7500 [4 per cell]
O: 0.0181 0.2500 0.7500 [24 per cell]

The 12 most intense peaks (10 to 90 degrees two-theta), in order of falling intensity:
2.979 Å, intensity 100; 1.720 Å, intensity 40; 2.107 Å, intensity 30; 1.126 Å, intensity 21; 1.490 Å, intensity 18; 1.332 Å, intensity 18; 4.865 Å, intensity 17; 4.213 Å, intensity 12; 2.541 Å, intensity 10; 1.216 Å, intensity 6; 1.884 Å, intensity 5; 1.933 Å, intensity 4

7.
This entry pairs a crystal structure of MgMn2Al2O6 with its theoretical powder XRD pattern. Radiation: λ = 1.5418 Å (Cu Kα). Structure: DFT lattice parameters and positions (PBE+U).
Neutral-atom scattering factors, no anomalous dispersion.

Atomic structure:
Lattice parameters (Å, degrees): 5.0382 5.0446 5.9001 65.56 65.15 60.14
Space group P-1 (No. 2)
Symmetry-distinct sites (fractional):
Mg: 0.0000 0.0000 0.0000 [1 per cell]
Mn: 0.1699 0.1725 0.4901 [2 per cell]
Al: 0.3485 0.3502 0.9513 [2 per cell]
O: 0.0570 0.7253 0.7923 [2 per cell]
O: 0.2721 0.5802 0.2081 [2 per cell]
O: 0.4211 0.0563 0.7914 [2 per cell]

The 12 most intense peaks (10 to 90 degrees two-theta), in order of falling intensity:
1.812 Å, intensity 100; 2.521 Å, intensity 87; 2.527 Å, intensity 61; 1.799 Å, intensity 55; 1.457 Å, intensity 51; 2.260 Å, intensity 49; 1.792 Å, intensity 47; 3.815 Å, intensity 46; 4.215 Å, intensity 33; 1.454 Å, intensity 30; 2.280 Å, intensity 27; 1.819 Å, intensity 24